Entry 1:
Calculated powder X-ray diffraction pattern
Compound: HoTiAl2
Radiation: Cu Kα (weighted mean of Kα1 and Kα2)
Structure: a crystal structure in Alexandria, relaxed with PBE

Structure:
```
HoTiAl2
1.0
4.313 0.000 0.000
0.000 4.313 0.000
0.000 0.000 4.244
Ho Ti Al
1 1 2
direct
0.000 0.000 0.000
0.500 0.500 0.000
0.000 0.500 0.500
0.500 0.000 0.500
```

The 10 most intense peaks (15 to 90 degrees two-theta), by intensity:
2θ/deg	I_rel
36.27	100.0
20.59	38.3
20.93	34.8
41.89	33.2
29.53	32.3
29.29	30.7
72.84	25.1
61.29	21.1
47.28	16.4
42.61	15.8

Entry 2:
Calculated powder X-ray diffraction pattern
Compound: Co8RuS8
Radiation: Cu Kα (weighted mean of Kα1 and Kα2)
Structure: a crystal structure in Alexandria, relaxed with PBE

Structure:
```
Co8RuS8
1.0
0.000 4.931 4.931
4.931 0.000 4.931
4.931 4.931 0.000
Co Ru S
8 1 8
direct
0.126 0.126 0.126
0.126 0.126 0.622
0.126 0.622 0.126
0.378 0.874 0.874
0.622 0.126 0.126
0.874 0.378 0.874
0.874 0.874 0.378
0.874 0.874 0.874
0.500 0.500 0.500
0.250 0.250 0.250
0.259 0.259 0.741
0.259 0.741 0.259
0.259 0.741 0.741
0.741 0.259 0.259
0.741 0.259 0.741
0.741 0.741 0.259
0.750 0.750 0.750
```

The 10 most intense peaks (15 to 90 degrees two-theta), by intensity:
2θ/deg	I_rel
30.05	100.0
52.49	91.9
47.93	37.6
73.80	19.0
77.42	13.5
61.67	11.7
17.99	11.1
85.22	11.0
25.55	10.8
31.42	10.3

Entry 3:
Calculated powder X-ray diffraction pattern
Compound: Ba2ErBiO5
Radiation: Cu Kα (weighted mean of Kα1 and Kα2)
Structure: a crystal structure in Alexandria, relaxed with PBE

Structure:
```
Ba2ErBiO5
1.0
1.841 -7.924 0.000
1.841 7.924 0.000
0.000 0.000 11.330
Ba Er Bi O
4 2 2 10
direct
0.111 0.889 0.500
0.133 0.867 0.114
0.867 0.133 0.614
0.889 0.111 0.000
0.221 0.779 0.836
0.779 0.221 0.336
0.460 0.540 0.283
0.540 0.460 0.783
0.079 0.921 0.881
0.274 0.726 0.462
0.326 0.674 0.215
0.355 0.645 0.806
0.497 0.503 0.093
0.503 0.497 0.593
0.645 0.355 0.306
0.674 0.326 0.715
0.726 0.274 0.962
0.921 0.079 0.381
```

The 10 most intense peaks (15 to 90 degrees two-theta), by intensity:
2θ/deg	I_rel
29.52	100.0
30.63	51.9
26.13	51.2
27.47	47.9
34.88	39.8
34.49	37.5
53.31	30.5
50.34	19.4
61.97	19.1
57.55	18.1

Entry 4:
Calculated powder X-ray diffraction pattern
Compound: LaTbDy2Hg4
Radiation: Cu Kα (weighted mean of Kα1 and Kα2)
Structure: a crystal structure in Alexandria, relaxed with PBE

Structure:
```
LaTbDy2Hg4
1.0
2.662 1.537 8.783
-2.662 1.537 8.783
0.000 -3.074 8.783
La Tb Dy Hg
1 1 2 4
direct
0.000 0.000 0.000
0.500 0.500 0.500
0.249 0.249 0.249
0.751 0.751 0.751
0.127 0.127 0.127
0.379 0.379 0.379
0.621 0.621 0.621
0.873 0.873 0.873
```

The 10 most intense peaks (15 to 90 degrees two-theta), by intensity:
2θ/deg	I_rel
33.43	100.0
33.67	99.8
60.06	37.8
48.18	36.4
60.21	19.1
59.62	18.4
80.59	16.6
80.19	16.0
70.79	11.9
70.24	11.3

Entry 5:
Calculated powder X-ray diffraction pattern
Compound: ZrReNiPd2
Radiation: Cu Kα (weighted mean of Kα1 and Kα2)
Structure: a crystal structure in Alexandria, relaxed with PBE

Structure:
```
ZrReNiPd2
1.0
4.510 0.000 0.000
0.000 4.510 0.000
0.000 0.000 4.535
Zr Re Ni Pd
1 1 1 2
direct
0.000 0.000 0.000
0.500 0.500 0.000
0.000 0.000 0.500
0.000 0.500 0.500
0.500 0.000 0.500
```

The 10 most intense peaks (15 to 90 degrees two-theta), by intensity:
2θ/deg	I_rel
34.38	100.0
39.99	56.1
57.65	37.8
27.92	29.9
39.75	28.5
69.04	26.2
72.47	18.8
57.83	18.7
68.72	13.3
49.46	9.6

Entry 6:
Calculated powder X-ray diffraction pattern
Compound: GdTh2
Radiation: Cu Kα (weighted mean of Kα1 and Kα2)
Structure: a crystal structure in Alexandria, relaxed with PBE

Structure:
```
GdTh2
1.0
-1.789 1.789 7.560
1.789 -1.789 7.560
1.789 1.789 -7.560
Gd Th
1 2
direct
0.000 0.000 0.000
0.331 0.331 0.000
0.669 0.669 0.000
```

The 10 most intense peaks (15 to 90 degrees two-theta), by intensity:
2θ/deg	I_rel
30.64	100.0
35.48	34.1
60.73	29.6
51.16	24.4
35.63	16.8
60.92	14.5
63.80	12.7
51.05	12.4
83.42	12.3
85.94	11.7

Entry 7:
Calculated powder X-ray diffraction pattern
Compound: HfThGa
Radiation: Cu Kα (weighted mean of Kα1 and Kα2)
Structure: a crystal structure in Alexandria, relaxed with PBE

Structure:
```
HfThGa
1.0
-2.126 2.126 8.061
2.126 -2.126 8.061
2.126 2.126 -8.061
Hf Th Ga
2 2 2
direct
0.000 0.500 0.500
0.500 0.000 0.500
0.179 0.179 0.000
0.821 0.821 0.000
0.378 0.378 0.000
0.622 0.622 0.000
```

The 10 most intense peaks (15 to 90 degrees two-theta), by intensity:
2θ/deg	I_rel
31.76	100.0
37.31	58.4
42.52	51.8
26.73	44.1
34.92	43.3
33.34	30.2
55.08	29.7
56.15	22.5
54.84	21.3
71.08	20.4

Entry 8:
Calculated powder X-ray diffraction pattern
Compound: NbV2W8
Radiation: Cu Kα (weighted mean of Kα1 and Kα2)
Structure: a crystal structure in Alexandria, relaxed with PBE

Structure:
```
NbV2W8
1.0
5.520 0.000 0.000
-1.023 5.426 0.000
-1.518 -1.812 6.476
Nb V W
1 2 8
direct
0.000 0.000 0.000
0.314 0.315 0.436
0.686 0.685 0.564
0.140 0.140 0.689
0.155 0.655 0.705
0.345 0.846 0.295
0.398 0.400 0.120
0.602 0.600 0.880
0.655 0.154 0.705
0.845 0.345 0.295
0.860 0.860 0.311
```

The 10 most intense peaks (15 to 90 degrees two-theta), by intensity:
2θ/deg	I_rel
40.60	100.0
33.34	48.6
42.54	41.3
42.25	24.2
27.55	22.5
37.96	17.3
34.83	15.3
58.38	13.8
25.06	13.6
18.72	13.5

Entry 9:
Calculated powder X-ray diffraction pattern
Compound: SmPu6Se8
Radiation: Cu Kα (weighted mean of Kα1 and Kα2)
Structure: a crystal structure in Alexandria, relaxed with PBE

Structure:
```
SmPu6Se8
1.0
0.000 5.870 5.870
5.870 0.000 5.870
5.870 5.870 0.000
Sm Pu Se
1 6 8
direct
0.000 0.000 0.000
0.000 0.000 0.500
0.000 0.500 0.000
0.000 0.500 0.500
0.500 0.000 0.000
0.500 0.000 0.500
0.500 0.500 0.000
0.250 0.250 0.250
0.251 0.251 0.749
0.251 0.749 0.251
0.251 0.749 0.749
0.749 0.251 0.251
0.749 0.251 0.749
0.749 0.749 0.251
0.750 0.750 0.750
```

The 10 most intense peaks (15 to 90 degrees two-theta), by intensity:
2θ/deg	I_rel
30.45	100.0
43.61	75.7
71.93	35.1
26.30	32.6
54.12	27.0
80.08	26.5
51.64	17.1
63.38	12.6
15.09	10.7
21.41	9.7

Entry 10:
Calculated powder X-ray diffraction pattern
Compound: V2SiTc3
Radiation: Cu Kα (weighted mean of Kα1 and Kα2)
Structure: a crystal structure in Alexandria, relaxed with PBE

Structure:
```
V2SiTc3
1.0
2.130 -6.381 0.000
2.130 6.381 0.000
0.000 0.000 6.009
V Si Tc
4 2 6
direct
0.000 0.000 0.000
0.000 0.000 0.500
0.333 0.667 0.000
0.667 0.333 0.000
0.339 0.661 0.500
0.661 0.339 0.500
0.169 0.831 0.253
0.169 0.831 0.747
0.500 0.500 0.247
0.500 0.500 0.753
0.831 0.169 0.253
0.831 0.169 0.747
```

The 9 most intense peaks (15 to 90 degrees two-theta), by intensity:
2θ/deg	I_rel
42.50	100.0
29.70	21.7
77.74	20.8
61.63	10.5
77.83	10.4
52.71	6.0
61.76	5.2
69.89	5.2
70.00	2.5

Entry 11:
Calculated powder X-ray diffraction pattern
Compound: Zr6FeCl14
Radiation: Cu Kα (weighted mean of Kα1 and Kα2)
Structure: a crystal structure in Alexandria, relaxed with PBE

Structure:
```
Zr6FeCl14
1.0
7.382 -6.628 0.000
7.382 6.628 0.000
0.000 0.000 11.968
Zr Fe Cl
12 2 28
direct
0.048 0.191 0.880
0.151 0.849 0.889
0.191 0.048 0.120
0.309 0.452 0.620
0.349 0.651 0.389
0.452 0.309 0.380
0.548 0.691 0.620
0.651 0.349 0.611
0.691 0.548 0.380
0.809 0.952 0.880
0.849 0.151 0.111
0.952 0.809 0.120
0.000 0.000 0.000
0.500 0.500 0.500
0.035 0.207 0.246
0.103 0.397 0.750
0.116 0.641 0.008
0.141 0.616 0.508
0.156 0.844 0.257
0.207 0.035 0.754
0.247 0.247 0.000
0.253 0.253 0.500
0.293 0.465 0.254
0.344 0.656 0.757
0.359 0.884 0.008
0.384 0.859 0.508
0.397 0.103 0.250
0.465 0.293 0.746
0.535 0.707 0.254
0.603 0.897 0.750
0.616 0.141 0.492
0.641 0.116 0.992
0.656 0.344 0.243
0.707 0.535 0.746
0.747 0.747 0.500
0.753 0.753 0.000
0.793 0.965 0.246
0.844 0.156 0.743
0.859 0.384 0.492
0.884 0.359 0.992
0.897 0.603 0.250
0.965 0.793 0.754
```

The 10 most intense peaks (15 to 90 degrees two-theta), by intensity:
2θ/deg	I_rel
35.80	100.0
47.99	49.6
24.36	47.2
31.51	45.5
35.20	42.6
30.84	36.3
37.60	35.5
41.16	31.0
49.38	26.9
31.03	25.7

Entry 12:
Calculated powder X-ray diffraction pattern
Compound: Na8B11C5
Radiation: Cu Kα (weighted mean of Kα1 and Kα2)
Structure: a crystal structure in Alexandria, relaxed with PBE

Structure:
```
Na8B11C5
1.0
4.989 0.000 0.000
0.000 8.567 0.000
-0.017 0.000 5.829
Na B C
8 11 5
direct
0.000 0.247 0.000
0.000 0.753 0.000
0.001 0.248 0.500
0.001 0.752 0.500
0.499 0.249 0.250
0.499 0.751 0.250
0.502 0.248 0.750
0.502 0.752 0.750
0.164 0.000 0.748
0.165 0.500 0.740
0.192 0.500 0.264
0.320 0.500 0.002
0.342 0.000 0.013
0.343 0.000 0.489
0.664 0.500 0.509
0.694 0.500 0.984
0.819 0.500 0.248
0.820 0.000 0.751
0.838 0.000 0.250
0.169 0.000 0.249
0.326 0.500 0.507
0.667 0.000 0.003
0.667 0.000 0.494
0.827 0.500 0.743
```

The 10 most intense peaks (15 to 90 degrees two-theta), by intensity:
2θ/deg	I_rel
41.62	100.0
41.91	52.9
42.20	38.5
35.67	20.1
80.09	13.5
56.41	10.9
63.87	9.0
79.56	8.8
64.42	8.7
64.60	8.6

Entry 13:
Calculated powder X-ray diffraction pattern
Compound: BaTlNiH6
Radiation: Cu Kα (weighted mean of Kα1 and Kα2)
Structure: a crystal structure in Alexandria, relaxed with PBE

Structure:
```
BaTlNiH6
1.0
4.674 -2.695 0.000
4.674 2.695 0.000
-0.037 0.000 4.695
Ba Tl Ni H
1 1 1 6
direct
0.000 0.000 0.000
0.333 0.333 0.478
0.665 0.665 0.690
0.377 0.809 0.509
0.533 0.533 0.884
0.534 0.931 0.884
0.808 0.808 0.509
0.809 0.377 0.509
0.931 0.534 0.884
```

The 10 most intense peaks (15 to 90 degrees two-theta), by intensity:
2θ/deg	I_rel
26.87	100.0
33.23	89.1
27.01	70.7
43.36	28.6
43.15	24.3
55.65	21.8
19.01	18.4
59.37	16.8
18.95	16.3
55.74	15.1